# Zn4Au9
Theoretical powder diffractogram, Cu Kα (λ = 1.5418 Å). Input: a DFT-relaxed cell (GGA-PBE, OQMD).

Most intense lines, 2θ from 15° to 90°, by angle:
| Position (°2θ) | I_rel |
| --- | --- |
| 27.40 | 7 |
| 28.87 | 7 |
| 33.81 | 8 |
| 38.19 | 100 |
| 43.35 | 19 |
| 44.89 | 26 |
| 64.18 | 18 |
| 70.28 | 7 |
| 76.10 | 14 |
| 78.30 | 14 |

Atomic structure:
```
data_Zn4Au9
_chemical_formula_sum 'Zn8 Au18'
_cell_length_a 10.2952
_cell_length_b 10.2952
_cell_length_c 4.1742
_cell_angle_alpha 90.00
_cell_angle_beta 90.00
_cell_angle_gamma 90.00
_symmetry_space_group_name_H-M 'I 4/m'
_symmetry_Int_Tables_number 87
_symmetry_space_group_name_Hall '-I 4'
loop_
_atom_site_label
_atom_site_fract_x
_atom_site_fract_y
_atom_site_fract_z
_atom_site_occupancy
Zn1 0.1307 0.7654 0.0000 1
Au1 0.0000 0.0000 0.0000 1
Au2 0.0723 0.1894 0.5000 1
Au3 0.0932 0.3839 0.0000 1
```